Calculated powder X-ray diffraction pattern of KCdW2O8 for Cu Ka, from a crystal structure in Alexandria, relaxed with PBE+U.

Top 10 peaks for 2θ = 15–90°, low angle first:
2θ (°), d [Å], I (rel.)
17.1, 5.171, 38
23.2, 3.832, 100
29.0, 3.079, 27
30.4, 2.942, 87
33.1, 2.710, 25
45.5, 1.993, 64
47.4, 1.916, 17
53.5, 1.714, 16
57.4, 1.606, 18
67.8, 1.381, 17

a b c (Å): 6.453 6.453 6.453
angles (deg): 107.14 107.14 114.25
Element x y z (fractional)
K1 0.000 0.000 0.000
Cd1 0.750 0.250 0.500
W1 0.250 0.750 0.500
W2 0.500 0.500 0.000
O1 0.088 0.404 0.316
O2 0.088 0.772 0.684
O3 0.156 0.352 0.804
O4 0.228 0.912 0.316
O5 0.549 0.352 0.196
O6 0.596 0.912 0.684
O7 0.648 0.451 0.804
O8 0.648 0.844 0.196